[1]
# La2BiN
Simulated PXRD pattern, CuKα. Input: a crystal structure in Alexandria, relaxed with GGA-PBE.

```
La2BiN
1.0
4.8422 0.0000 0.0000
0.0000 4.8422 0.0000
0.0000 0.0000 9.5537
La Bi N
4 2 2
Direct
0.2500 0.2500 0.1757
0.2500 0.7500 0.5000
0.7500 0.2500 0.5000
0.7500 0.7500 0.8243
0.2500 0.2500 0.8010
0.7500 0.7500 0.1990
0.2500 0.2500 0.4126
0.7500 0.7500 0.5874
```

Largest 10 diffraction maxima, low angle first, 5 to 70 degrees two-theta:
| 2theta | I (rel.) |
| --- | --- |
| 26.02 | 29 |
| 27.68 | 65 |
| 28.02 | 48 |
| 32.17 | 100 |
| 37.13 | 58 |
| 47.16 | 47 |
| 53.53 | 20 |
| 55.04 | 32 |
| 61.50 | 21 |
| 63.84 | 29 |



[2]
# Hf12Co6Ir
Simulated PXRD pattern, CuKα. Input: a crystal structure in Alexandria, relaxed with GGA-PBE.

```
Hf12Co6Ir
1.0
-4.4028 4.4028 4.4028
4.4028 -4.4028 4.4028
4.4028 4.4028 -4.4028
Hf Co Ir
12 6 1
Direct
0.1124 0.2930 0.8194
0.1806 0.4736 0.2930
0.1806 0.8876 0.7070
0.2930 0.1806 0.4736
0.2930 0.8194 0.1124
0.4736 0.2930 0.1806
0.5264 0.7070 0.8194
0.7070 0.1806 0.8876
0.7070 0.8194 0.5264
0.8194 0.1124 0.2930
0.8194 0.5264 0.7070
0.8876 0.7070 0.1806
0.1382 0.5000 0.6382
0.3618 0.8618 0.5000
0.5000 0.3618 0.8618
0.5000 0.6382 0.1382
0.6382 0.1382 0.5000
0.8618 0.5000 0.3618
0.0000 0.0000 0.0000
```

Largest 10 diffraction maxima, low angle first, 5 to 70 degrees two-theta:
| 2theta | I (rel.) |
| --- | --- |
| 32.15 | 38 |
| 35.31 | 37 |
| 38.24 | 100 |
| 41.00 | 17 |
| 43.61 | 12 |
| 46.10 | 10 |
| 53.03 | 11 |
| 61.39 | 31 |
| 63.38 | 11 |
| 65.33 | 33 |



[3]
# Y2TmCu4
Simulated PXRD pattern, CuKα. Input: a crystal structure in Alexandria, relaxed with GGA-PBE.

```
Y2TmCu4
1.0
5.0681 0.0000 0.0000
0.0000 5.0681 0.0000
0.0000 0.0000 11.5574
Y Tm Cu
4 2 8
Direct
0.0000 0.0000 0.2121
0.0000 0.0000 0.7879
0.5000 0.5000 0.2879
0.5000 0.5000 0.7121
0.0000 0.0000 0.5000
0.5000 0.5000 0.0000
0.0000 0.5000 0.1130
0.0000 0.5000 0.3870
0.0000 0.5000 0.6130
0.0000 0.5000 0.8870
0.5000 0.0000 0.1130
0.5000 0.0000 0.3870
0.5000 0.0000 0.6130
0.5000 0.0000 0.8870
```

Largest 10 diffraction maxima, low angle first, 5 to 70 degrees two-theta:
| 2theta | I (rel.) |
| --- | --- |
| 19.12 | 35 |
| 29.12 | 68 |
| 35.42 | 96 |
| 40.09 | 100 |
| 40.56 | 11 |
| 46.49 | 37 |
| 50.97 | 33 |
| 54.05 | 10 |
| 58.82 | 13 |
| 66.74 | 42 |